Entry 1:
The following is a computed X-ray diffraction stick pattern of Ce4SbRu. It was derived from a structure optimized by DFT (PBE), using a wavelength of 1.5418 Å.
Kinematic intensities with the Lorentz-polarization factor, no thermal factor.

The 12 most intense peaks (10° ≤ 2θ ≤ 90°), by angle:
2θ (°), intensity
26.79, 214
31.48, 269
32.88, 936
33.41, 1000
34.02, 838
34.46, 782
34.73, 853
37.91, 465
47.06, 420
50.40, 220
58.40, 205
58.64, 206

Atomic structure:
Cell: 5.392 6.656 8.399 Å, 90.00 95.91 90.00°
Fractional positions:
1 Ce 0.213 0.250 0.027
2 Ce 0.219 0.750 0.375
3 Ce 0.284 0.536 0.760
4 Ce 0.284 0.964 0.760
5 Ce 0.716 0.036 0.240
6 Ce 0.716 0.464 0.240
7 Ce 0.781 0.250 0.625
8 Ce 0.787 0.750 0.973
9 Sb 0.246 0.250 0.415
10 Sb 0.754 0.750 0.585
11 Ru 0.262 0.750 0.094
12 Ru 0.738 0.250 0.906

Entry 2:
The following is a computed X-ray diffraction stick pattern of Ce5ScRu6. It was derived from a structure optimized by DFT (PBE), using a wavelength of 1.5418 Å.
Kinematic intensities with the Lorentz-polarization factor, no thermal factor.

The 12 most intense peaks (10° ≤ 2θ ≤ 90°), by angle:
2θ (°), intensity
36.34, 531
36.83, 1000
38.23, 876
38.59, 461
51.31, 146
54.79, 172
56.12, 134
64.57, 77
64.70, 77
67.33, 137
67.61, 85
67.72, 94

Atomic structure:
Cell: 4.728 6.702 8.305 Å, 113.43 101.98 90.41°
Fractional positions:
1 Ce 0.000 0.000 0.000
2 Ce 0.369 0.337 0.672
3 Ce 0.369 0.826 0.651
4 Ce 0.631 0.174 0.349
5 Ce 0.631 0.663 0.328
6 Sc 0.000 0.500 0.000
7 Ru 0.107 0.904 0.310
8 Ru 0.108 0.406 0.312
9 Ru 0.499 0.252 0.000
10 Ru 0.501 0.748 0.000
11 Ru 0.892 0.594 0.688
12 Ru 0.893 0.096 0.690

Entry 3:
The following is a computed X-ray diffraction stick pattern of Ce2RuSe. It was derived from a structure optimized by DFT (PBE), using a wavelength of 1.5418 Å.
Kinematic intensities with the Lorentz-polarization factor, no thermal factor.

The 12 most intense peaks (10° ≤ 2θ ≤ 90°), by angle:
2θ (°), intensity
12.41, 67
27.03, 58
30.72, 1000
42.68, 369
45.29, 350
51.21, 62
55.72, 183
63.98, 109
70.73, 139
74.53, 153
81.82, 110
83.65, 59

Atomic structure:
Cell: 7.500 7.500 7.500 Å, 30.97 30.97 30.97°
Fractional positions:
1 Ce 0.241 0.241 0.241
2 Ce 0.759 0.759 0.759
3 Ru 0.500 0.500 0.500
4 Se 0.000 0.000 0.000

Entry 4:
The following is a computed X-ray diffraction stick pattern of Ce3SiRu6. It was derived from a structure optimized by DFT (PBE), using a wavelength of 1.5418 Å.
Kinematic intensities with the Lorentz-polarization factor, no thermal factor.

The 12 most intense peaks (10° ≤ 2θ ≤ 90°), by angle:
2θ (°), intensity
26.47, 297
30.66, 123
33.49, 451
40.18, 728
40.94, 1000
43.19, 506
56.33, 101
65.51, 278
74.57, 112
76.64, 254
78.18, 210
88.78, 130

Atomic structure:
Cell: 7.377 7.377 7.377 Å, 104.48 104.48 104.48°
Fractional positions:
1 Ce 0.025 0.288 0.411
2 Ce 0.288 0.411 0.025
3 Ce 0.411 0.025 0.288
4 Ce 0.589 0.975 0.712
5 Ce 0.712 0.589 0.975
6 Ce 0.975 0.712 0.589
7 Si 0.000 0.000 0.000
8 Si 0.500 0.500 0.500
9 Ru 0.029 0.913 0.317
10 Ru 0.087 0.683 0.971
11 Ru 0.238 0.637 0.338
12 Ru 0.317 0.029 0.913
13 Ru 0.338 0.238 0.637
14 Ru 0.363 0.662 0.762
15 Ru 0.637 0.338 0.238
16 Ru 0.662 0.762 0.363
17 Ru 0.683 0.971 0.087
18 Ru 0.762 0.363 0.662
19 Ru 0.913 0.317 0.029
20 Ru 0.971 0.087 0.683